Diffraction record for Tl7In4Bi. The powder X-ray diffraction pattern is simulated, not measured: it uses a crystal structure in Alexandria, relaxed with PBE and Cu Kα.
Neutral-atom scattering factors, no anomalous dispersion.

Largest 12 diffraction maxima, in order of rising 2θ, 5 to 70 degrees two-theta:
hkl  two_theta  intensity
1 0 0  18.49  13
0 1 1  19.63  30
0 1 3  27.14  17
1 1 0  32.35  1000
2 0 1  38.10  8
0 2 4  46.40  186
2 0 5  50.81  7
1 2 3  54.53  6
3 0 0  57.66  293
0 1 8  57.82  92
2 2 0  67.63  60
2 0 8  67.81  57

Structural model:
```
data_Tl7In4Bi
_chemical_formula_sum 'Tl7 In4 Bi1'
_cell_length_a 5.5412
_cell_length_b 5.5412
_cell_length_c 13.5257
_cell_angle_alpha 90.00
_cell_angle_beta 90.00
_cell_angle_gamma 120.00
_symmetry_space_group_name_H-M 'P -3 m 1'
_symmetry_Int_Tables_number 164
_symmetry_space_group_name_Hall '-P 3 2"'
loop_
_atom_site_label
_atom_site_fract_x
_atom_site_fract_y
_atom_site_fract_z
Tl1 0.0000 0.0000 0.0000
Tl2 0.0000 0.0000 0.2501
Tl3 0.3333 0.6667 0.1590
Tl4 0.3333 0.6667 0.4112
In1 0.3333 0.6667 0.6725
In2 0.3333 0.6667 0.9147
Bi1 0.0000 0.0000 0.5000
```